Simulated XRD peak list of NaZn4Sb2 for λ = 1.5418 Å (Cu Kα), from DFT lattice parameters and positions (GGA-PBE).
Peak positions follow from Bragg's law for the DFT cell and can differ from measured ones.

Crystal structure
```
NaZn4Sb2
1.0
2.472 1.427 7.809
-2.472 1.427 7.809
0.000 -2.854 7.809
Na Zn Sb
1 4 2
Direct
0.000 0.000 0.000 Na
0.130 0.130 0.130 Zn
0.445 0.445 0.445 Zn
0.555 0.555 0.555 Zn
0.870 0.870 0.870 Zn
0.245 0.245 0.245 Sb
0.755 0.755 0.755 Sb
```

Most intense lines, 10° ≤ 2θ ≤ 90°, low angle first:
d = 7.809 Å, rel. 57
d = 4.021 Å, rel. 16
d = 3.905 Å, rel. 24
d = 3.456 Å, rel. 18
d = 2.637 Å, rel. 16
d = 2.472 Å, rel. 100
d = 2.417 Å, rel. 22
d = 2.357 Å, rel. 18
d = 2.088 Å, rel. 26
d = 2.055 Å, rel. 28
d = 1.792 Å, rel. 22
d = 1.427 Å, rel. 17